(1)
Simulated powder X-ray diffraction pattern
Compound: Na5Pr4Si4O16F
Radiation: Cu Kα (weighted mean of Kα1 and Kα2)
Structure: a cell relaxed with PBE

Largest 8 diffraction maxima, sorted by position, 2θ = 5–70°:
- 2θ = 10.32°, d = 8.575 Å, I = 597
- 2θ = 17.65°, d = 5.026 Å, I = 1000
- 2θ = 22.98°, d = 3.870 Å, I = 574
- 2θ = 27.34°, d = 3.262 Å, I = 772
- 2θ = 31.13°, d = 2.873 Å, I = 937
- 2θ = 32.42°, d = 2.762 Å, I = 591
- 2θ = 34.55°, d = 2.596 Å, I = 675
- 2θ = 46.96°, d = 1.935 Å, I = 547

Structural model:
```
30
Lattice="-6.0634 6.0634 2.7615 6.0634 -6.0634 2.7615 6.0634 6.0634 -2.7615" Properties=species:S:1:pos:R:3 pbc="T T T"
Na 0.0000 0.0000 0.0000
Na 7.1454 1.2708 -0.0443
Na 1.2709 4.9814 0.0443
Na 4.7926 1.0820 2.8058
Na -1.0820 4.7926 2.7172
Pr 4.6369 3.8208 -0.0882
Pr 2.2426 -1.4265 2.8497
Pr 3.8208 7.4899 0.0882
Pr 1.4265 2.2426 2.6733
Si 3.0023 1.2277 0.0423
Si 4.8357 -3.0611 2.7192
Si 1.2277 9.1245 -0.0423
Si 3.0611 4.8357 2.8038
O 6.6140 3.7500 -1.4819
O 4.6502 1.2765 -0.0869
O 9.3458 2.4421 -0.2310
O 3.5249 5.6157 -1.3549
O 2.4421 2.7810 0.2310
O 2.5385 0.4477 1.4066
O 4.7869 -1.4132 2.8484
O -0.5506 2.3134 1.2796
O 6.5111 3.5249 1.3549
O 1.2765 7.4766 0.0869
O 3.7500 5.5128 1.4819
O -3.2824 3.6213 2.5306
O 3.6213 3.2824 2.9925
O 2.3134 0.5506 4.2434
O 1.4132 4.7869 2.6746
O -0.4477 2.5385 4.1164
F 0.0000 0.0000 2.7615
```

(2)
Simulated powder X-ray diffraction pattern
Compound: NaSO3F
Radiation: Cu Kα (weighted mean of Kα1 and Kα2)
Structure: a cell relaxed with PBE

Largest 8 diffraction maxima, sorted by position, 2θ = 5–70°:
- 2θ = 13.03°, d = 6.793 Å, I = 196
- 2θ = 22.61°, d = 3.932 Å, I = 1000
- 2θ = 32.18°, d = 2.782 Å, I = 486
- 2θ = 34.83°, d = 2.576 Å, I = 109
- 2θ = 44.19°, d = 2.050 Å, I = 147
- 2θ = 46.17°, d = 1.966 Å, I = 165
- 2θ = 51.94°, d = 1.760 Å, I = 83
- 2θ = 67.26°, d = 1.392 Å, I = 98

Structural model:
```
12
Lattice="5.5683 0.0000 0.0000 -2.7841 4.8222 0.0000 0.0000 0.0000 6.7929" Properties=species:S:1:pos:R:3 pbc="T T T"
Na 0.0000 0.0000 0.0000
Na 0.0000 0.0000 3.3964
S 0.0000 3.2148 1.9691
S 2.7841 1.6074 4.8238
O 0.0000 1.7940 1.6599
O -1.2305 3.9253 1.6599
O 1.5536 0.8970 5.1330
O 1.2305 3.9253 1.6599
O 4.0146 0.8970 5.1330
O 2.7841 3.0283 5.1330
F 0.0000 3.2148 3.5961
F 2.7841 1.6074 3.1968
```